Diffraction record for DyHoAgRu. The X-ray powder pattern is calculated, not measured: it uses a structure optimized by DFT (GGA-PBE) and Cu Kα.

Structural model:
```
DyHoAgRu
1.0
3.4130 0.0000 0.0000
0.0000 3.4130 0.0000
0.0000 0.0000 7.4913
Dy Ho Ag Ru
1 1 1 1
Direct
0.0000 0.0000 0.0000 Dy
0.0000 0.0000 0.5556 Ho
0.5000 0.5000 0.2800 Ag
0.5000 0.5000 0.7765 Ru
```

Top 8 peaks for 10° ≤ 2θ ≤ 80°, by angle:
| Position (°2θ) | Rel. int. | hkl |
| --- | --- | --- |
| 35.59 | 100 | 1 0 2 |
| 37.26 | 47 | 1 1 0 |
| 48.61 | 8 | 0 0 4 |
| 53.71 | 16 | 2 0 0 |
| 62.80 | 15 | 1 1 4 |
| 66.10 | 32 | 2 1 2 |
| 75.35 | 9 | 2 0 4 |
| 79.42 | 5 | 2 2 0 |

=====

Diffraction record for KCdInSbBr. The X-ray powder pattern is calculated, not measured: it uses a structure optimized by DFT (GGA-PBE) and Cu Kα.

Structural model:
```
KCdInSbBr
1.0
3.9261 0.0000 0.0000
-0.0003 4.1466 0.0000
-0.0101 -0.0124 10.3035
K Cd In Sb Br
1 1 1 1 1
Direct
0.0000 0.0000 0.0000 K
0.9968 0.0019 0.3731 Cd
0.0002 0.5025 0.5932 In
0.4971 0.5017 0.2782 Sb
0.4999 0.4996 0.8422 Br
```

Top 8 peaks for 10° ≤ 2θ ≤ 80°, by angle:
| Position (°2θ) | Rel. int. | hkl |
| --- | --- | --- |
| 24.26 | 27 | 1 0 1 |
| 28.59 | 44 | 1 0 -2 |
| 31.38 | 31 | 1 1 0 |
| 32.59 | 43 | 1 -1 1 |
| 33.89 | 48 | 0 1 -3 |
| 36.00 | 100 | -1 1 2 |
| 43.66 | 23 | 0 2 0 |
| 49.99 | 22 | 1 0 -5 |